1.
Nd5Co21B4: calculated XRD peak list (Cu Kα (weighted mean of Kα1 and Kα2)), based on DFT lattice parameters and positions (GGA-PBE).
No peak broadening, texture or thermal motion is included.

Structural model:
a b c (Å): 5.0684 5.0684 17.6325
angles (deg): 90.00 90.00 120.00
Space group P6/mmm (No. 191)
Asymmetric unit:
Nd 0.0000 0.0000 0.0000
Nd 0.0000 0.0000 0.1936
Nd 0.0000 0.0000 0.3919
Co 0.0000 0.5000 0.1119
Co 0.0000 0.5000 0.2775
Co 0.0000 0.5000 0.5000
Co 0.3333 0.6667 0.0000
Co 0.3333 0.6667 0.3890
B 0.3333 0.6667 0.1935

Largest 12 diffraction maxima, sorted by position, 5 to 70 degrees two-theta:
(1 0 0), 20.2°, rel. 8
(1 0 5), 32.6°, rel. 74
(1 1 0), 35.4°, rel. 32
(1 1 3), 38.7°, rel. 7
(0 0 8), 40.9°, rel. 8
(2 0 0), 41.1°, rel. 69
(1 1 5), 44.0°, rel. 100
(0 0 10), 51.9°, rel. 12
(2 1 5), 61.8°, rel. 23
(1 1 10), 64.4°, rel. 11
(2 0 10), 68.2°, rel. 14
(3 0 5), 69.6°, rel. 23


2.
CdPtSeO: calculated XRD peak list (Cu Kα (weighted mean of Kα1 and Kα2)), based on DFT lattice parameters and positions (GGA-PBE).
No peak broadening, texture or thermal motion is included.

Structural model:
a b c (Å): 4.7762 7.8100 8.2406
angles (deg): 90.00 90.00 90.00
Space group P2_12_12_1 (No. 19)
Asymmetric unit:
Cd 0.2164 0.0932 0.0520
Pt 0.1111 0.2480 0.6078
Se 0.1067 0.3139 0.3165
O 0.1040 0.2688 0.8593

Largest 12 diffraction maxima, sorted by position, 5 to 70 degrees two-theta:
(0 1 1), 15.6°, rel. 100
(0 2 0), 22.8°, rel. 90
(1 0 2), 28.6°, rel. 42
(1 1 2), 30.9°, rel. 59
(1 2 1), 31.5°, rel. 55
(0 1 3), 34.6°, rel. 40
(0 3 1), 36.2°, rel. 76
(2 1 0), 39.5°, rel. 82
(1 3 1), 41.0°, rel. 35
(1 2 3), 44.6°, rel. 38
(2 2 1), 45.9°, rel. 39
(1 3 3), 52.0°, rel. 51


Number 1 is which compound?
Nd5Co21B4


Repeat the second record exactly.
CdPtSeO: calculated XRD peak list (Cu Kα (weighted mean of Kα1 and Kα2)), based on DFT lattice parameters and positions (GGA-PBE).
No peak broadening, texture or thermal motion is included.

Structural model:
a b c (Å): 4.7762 7.8100 8.2406
angles (deg): 90.00 90.00 90.00
Space group P2_12_12_1 (No. 19)
Asymmetric unit:
Cd 0.2164 0.0932 0.0520
Pt 0.1111 0.2480 0.6078
Se 0.1067 0.3139 0.3165
O 0.1040 0.2688 0.8593

Largest 12 diffraction maxima, sorted by position, 5 to 70 degrees two-theta:
(0 1 1), 15.6°, rel. 100
(0 2 0), 22.8°, rel. 90
(1 0 2), 28.6°, rel. 42
(1 1 2), 30.9°, rel. 59
(1 2 1), 31.5°, rel. 55
(0 1 3), 34.6°, rel. 40
(0 3 1), 36.2°, rel. 76
(2 1 0), 39.5°, rel. 82
(1 3 1), 41.0°, rel. 35
(1 2 3), 44.6°, rel. 38
(2 2 1), 45.9°, rel. 39
(1 3 3), 52.0°, rel. 51


Number 1 is which compound?
Nd5Co21B4